[1]
Calculated powder XRD pattern
Compound: Hf6Au3N2
Radiation: Cu Kα (weighted mean of Kα1 and Kα2)
Structure: a crystal structure in Alexandria, relaxed with GGA-PBE
Intensities are scaled so that the largest is 1000.

Top 8 peaks for 2θ = 15–90°, most intense first:
35.26°, I = 1000, (0 1 11); 55.88°, I = 397, (1 1 0); 42.02°, I = 305, (1 0 19); 33.49°, I = 275, (0 1 8); 70.29°, I = 272, (1 1 27); 39.07°, I = 242, (0 0 27); 39.19°, I = 237, (1 0 16); 65.75°, I = 201, (0 1 38)

Structural model:
Cell: 3.2905 3.2905 62.2498 Å, 90.00 90.00 120.00°
Space group R-3m (No. 166, hexagonal axes)
One atom of each set of equivalent atoms:
Hf1 0.0000 0.0000 0.1060 [6 per cell]
Hf2 0.0000 0.0000 0.1876 [6 per cell]
Hf3 0.0000 0.0000 0.3685 [6 per cell]
Au1 0.0000 0.0000 0.0000 [3 per cell]
Au2 0.0000 0.0000 0.2637 [6 per cell]
N1 0.0000 0.0000 0.4586 [6 per cell]

[2]
Calculated powder XRD pattern
Compound: Hf8Au2N3
Radiation: Cu Kα (weighted mean of Kα1 and Kα2)
Structure: a crystal structure in Alexandria, relaxed with GGA-PBE
Intensities are scaled so that the largest is 1000.

Top 8 peaks for 2θ = 15–90°, most intense first:
39.64°, I = 1000, (4 2 -1); 36.61°, I = 929, (2 2 1); 38.55°, I = 603, (2 0 2); 36.78°, I = 590, (4 0 -2); 32.00°, I = 582, (0 2 1); 41.66°, I = 483, (6 0 0); 55.89°, I = 483, (2 2 -3); 72.87°, I = 369, (6 4 0)

Structural model:
Cell: 13.4742 6.4835 5.7285 Å, 90.00 105.10 90.00°
Space group C2/m (No. 12)
One atom of each set of equivalent atoms:
Hf1 0.0927 0.2503 0.3895 [8 per cell]
Hf2 0.0943 0.0000 0.9134 [4 per cell]
Hf3 0.0952 0.5000 0.8886 [4 per cell]
Au1 0.2471 0.0000 0.6803 [4 per cell]
N1 0.0000 0.2649 0.0000 [4 per cell]
N2 0.0000 0.5000 0.5000 [2 per cell]

[3]
Calculated powder XRD pattern
Compound: HfAuN
Radiation: Cu Kα (weighted mean of Kα1 and Kα2)
Structure: a crystal structure in Alexandria, relaxed with GGA-PBE
Intensities are scaled so that the largest is 1000.

Top 8 peaks for 2θ = 15–90°, most intense first:
36.13°, I = 1000, (1 0 2); 32.98°, I = 761, (1 1 0); 60.96°, I = 446, (2 1 2); 47.34°, I = 323, (2 0 0); 78.81°, I = 133, (3 1 0); 54.02°, I = 123, (1 1 3); 77.22°, I = 106, (1 0 5); 69.19°, I = 104, (2 2 0)

Structural model:
Cell: 3.8405 3.8405 6.5239 Å, 90.00 90.00 90.00°
Space group P4/nmm (No. 129, origin choice 2)
One atom of each set of equivalent atoms:
Hf1 0.2500 0.2500 0.1390 [2 per cell]
Au1 0.2500 0.2500 0.5722 [2 per cell]
N1 0.2500 0.7500 0.0000 [2 per cell]

[4]
Calculated powder XRD pattern
Compound: Hf3Au2N
Radiation: Cu Kα (weighted mean of Kα1 and Kα2)
Structure: a crystal structure in Alexandria, relaxed with GGA-PBE
Intensities are scaled so that the largest is 1000.

Top 8 peaks for 2θ = 15–90°, most intense first:
34.79°, I = 1000, (1 1 1); 37.48°, I = 975, (1 5 0); 39.89°, I = 470, (2 0 0); 37.77°, I = 420, (0 4 1); 70.42°, I = 317, (1 5 2); 39.30°, I = 302, (1 3 1); 56.10°, I = 268, (2 4 1); 72.01°, I = 219, (2 0 2)

Structural model:
Cell: 4.5204 14.1549 3.2204 Å, 90.00 90.00 90.00°
Space group Cmmm (No. 65)
One atom of each set of equivalent atoms:
Hf1 0.0000 0.0000 0.0000 [2 per cell]
Hf2 0.0000 0.3877 0.5000 [4 per cell]
Au1 0.0000 0.1934 0.0000 [4 per cell]
N1 0.0000 0.5000 0.0000 [2 per cell]

[5]
Calculated powder XRD pattern
Compound: HfPaAu2O8
Radiation: Cu Kα (weighted mean of Kα1 and Kα2)
Structure: a crystal structure in Alexandria, relaxed with GGA-PBE
Intensities are scaled so that the largest is 1000.

Top 8 peaks for 2θ = 15–90°, most intense first:
31.09°, I = 1000, (1 1 2); 25.77°, I = 988, (2 0 0); 48.90°, I = 727, (3 1 2); 36.77°, I = 299, (2 2 0); 58.33°, I = 209, (2 0 4); 62.71°, I = 202, (3 3 2); 74.96°, I = 169, (5 1 2); 59.83°, I = 167, (4 2 0)

Structural model:
Cell: 6.9135 6.9135 7.1164 Å, 90.00 90.00 90.00°
Space group I-4m2 (No. 119)
One atom of each set of equivalent atoms:
Hf1 0.0000 0.0000 0.0000 [2 per cell]
Pa1 0.0000 0.5000 0.2500 [2 per cell]
Au1 0.0000 0.0000 0.5000 [2 per cell]
Au2 0.0000 0.5000 0.7500 [2 per cell]
O1 0.0000 0.1749 0.2587 [8 per cell]
O2 0.0000 0.3133 0.9775 [8 per cell]

[6]
Calculated powder XRD pattern
Compound: Hf6PAu3
Radiation: Cu Kα (weighted mean of Kα1 and Kα2)
Structure: a crystal structure in Alexandria, relaxed with GGA-PBE
Intensities are scaled so that the largest is 1000.

Top 8 peaks for 2θ = 15–90°, most intense first:
34.27°, I = 1000, (2 1 -3); 39.15°, I = 626, (1 3 -1); 29.90°, I = 450, (1 2 -2); 33.85°, I = 423, (1 2 1); 34.07°, I = 409, (1 1 2); 37.25°, I = 370, (0 2 3); 34.72°, I = 362, (1 1 -4); 31.84°, I = 312, (1 0 2)

Structural model:
Cell: 5.8966 7.4986 11.0252 Å, 90.00 120.88 90.00°
Space group P2_1/c (No. 14)
One atom of each set of equivalent atoms:
Hf1 0.0689 0.0444 0.2402 [4 per cell]
Hf2 0.1757 0.6879 0.0662 [4 per cell]
Hf3 0.4308 0.1541 0.0671 [4 per cell]
P1 0.0000 0.0000 0.0000 [2 per cell]
Au1 0.3273 0.1288 0.7398 [4 per cell]
Au2 0.5000 0.0000 0.5000 [2 per cell]

[7]
Calculated powder XRD pattern
Compound: Hf3PbAu
Radiation: Cu Kα (weighted mean of Kα1 and Kα2)
Structure: a crystal structure in Alexandria, relaxed with GGA-PBE
Intensities are scaled so that the largest is 1000.

Top 8 peaks for 2θ = 15–90°, most intense first:
34.91°, I = 1000, (2 0 0); 50.20°, I = 726, (2 2 0); 30.11°, I = 645, (1 1 1); 84.24°, I = 340, (4 2 0); 24.49°, I = 288, (1 1 0); 59.65°, I = 286, (3 1 1); 62.60°, I = 251, (2 2 2); 17.25°, I = 187, (1 0 0)

Structural model:
Cell: 5.1407 5.1407 5.1407 Å, 90.00 90.00 90.00°
Space group Pm-3m (No. 221)
One atom of each set of equivalent atoms:
Hf1 0.0000 0.0000 0.5000 [3 per cell]
Pb1 0.5000 0.5000 0.5000 [1 per cell]
Au1 0.0000 0.0000 0.0000 [1 per cell]

[8]
Calculated powder XRD pattern
Compound: HfPd6Au3
Radiation: Cu Kα (weighted mean of Kα1 and Kα2)
Structure: a crystal structure in Alexandria, relaxed with GGA-PBE
Intensities are scaled so that the largest is 1000.

Top 8 peaks for 2θ = 15–90°, most intense first:
38.60°, I = 1000, (5 1 1); 44.01°, I = 173, (0 2 0); 44.31°, I = 170, (0 0 2); 46.26°, I = 148, (10 0 0); 77.29°, I = 132, (5 3 1); 77.71°, I = 130, (5 1 3); 80.54°, I = 116, (15 1 1); 64.23°, I = 112, (0 2 2)

Structural model:
Cell: 19.6265 4.1149 4.0889 Å, 90.00 90.05 90.00°
Space group C2/m (No. 12)
One atom of each set of equivalent atoms:
Hf1 0.0000 0.0000 0.0000 [2 per cell]
Pd1 0.0972 0.0000 0.5002 [4 per cell]
Pd2 0.0976 0.5000 0.0002 [4 per cell]
Pd3 0.2010 0.0000 0.9994 [4 per cell]
Au1 0.0000 0.5000 0.5000 [2 per cell]
Au2 0.1978 0.5000 0.5000 [4 per cell]

[9]
Calculated powder XRD pattern
Compound: HfPd3Au
Radiation: Cu Kα (weighted mean of Kα1 and Kα2)
Structure: a crystal structure in Alexandria, relaxed with GGA-PBE
Intensities are scaled so that the largest is 1000.

Top 8 peaks for 2θ = 15–90°, most intense first:
36.23°, I = 1000, (1 1 1); 39.36°, I = 772, (3 0 -2); 40.24°, I = 732, (1 0 -4); 40.76°, I = 611, (2 0 2); 36.91°, I = 507, (0 1 2); 41.43°, I = 484, (2 1 -2); 45.87°, I = 445, (2 1 -3); 42.25°, I = 276, (1 1 2)

Structural model:
Cell: 6.9687 2.9929 8.9715 Å, 90.00 110.99 90.00°
Space group P2_1/m (No. 11)
One atom of each set of equivalent atoms:
Hf1 0.2262 0.2500 0.0671 [2 per cell]
Pd1 0.0473 0.7500 0.7854 [2 per cell]
Pd2 0.1798 0.2500 0.5506 [2 per cell]
Pd3 0.4237 0.2500 0.8547 [2 per cell]
Au1 0.3557 0.7500 0.3626 [2 per cell]

[10]
Calculated powder XRD pattern
Compound: HfPd3Au
Radiation: Cu Kα (weighted mean of Kα1 and Kα2)
Structure: a crystal structure in Alexandria, relaxed with GGA-PBE
Intensities are scaled so that the largest is 1000.

Top 8 peaks for 2θ = 15–90°, most intense first:
43.85°, I = 1000, (5 1 0); 41.88°, I = 851, (1 1 3); 42.38°, I = 818, (3 1 -3); 22.39°, I = 665, (1 1 0); 42.91°, I = 563, (0 2 0); 24.29°, I = 519, (1 1 -1); 39.60°, I = 369, (2 0 3); 40.38°, I = 359, (4 0 -3)

Structural model:
Cell: 12.1034 4.2150 8.2425 Å, 90.00 101.97 90.00°
Space group C2/m (No. 12)
One atom of each set of equivalent atoms:
Hf1 0.1949 0.0000 0.1498 [4 per cell]
Pd1 0.0990 0.5000 0.2721 [4 per cell]
Pd2 0.1054 0.5000 0.9486 [4 per cell]
Pd3 0.1826 0.0000 0.4725 [4 per cell]
Au1 0.1006 0.5000 0.6226 [4 per cell]

[11]
Calculated powder XRD pattern
Compound: HfPd2Au3
Radiation: Cu Kα (weighted mean of Kα1 and Kα2)
Structure: a crystal structure in Alexandria, relaxed with GGA-PBE
Intensities are scaled so that the largest is 1000.

Top 8 peaks for 2θ = 15–90°, most intense first:
40.94°, I = 1000, (1 3 1); 40.04°, I = 635, (1 0 2); 37.73°, I = 449, (2 0 0); 36.13°, I = 303, (0 3 1); 76.45°, I = 221, (2 3 3); 70.30°, I = 205, (3 3 1); 53.23°, I = 201, (2 3 1); 63.68°, I = 186, (0 3 3)

Structural model:
Cell: 4.7679 8.5373 5.1093 Å, 90.00 90.00 90.00°
Space group Pmmn (No. 59, origin choice 2)
One atom of each set of equivalent atoms:
Hf1 0.2500 0.2500 0.0793 [2 per cell]
Pd1 0.2500 0.5811 0.0895 [4 per cell]
Au1 0.2500 0.0827 0.5937 [4 per cell]
Au2 0.2500 0.7500 0.6040 [2 per cell]

[12]
Calculated powder XRD pattern
Compound: HfPd8Au2
Radiation: Cu Kα (weighted mean of Kα1 and Kα2)
Structure: a crystal structure in Alexandria, relaxed with GGA-PBE
Intensities are scaled so that the largest is 1000.

Top 8 peaks for 2θ = 15–90°, most intense first:
39.30°, I = 1000, (0 4 1); 40.04°, I = 902, (3 1 1); 41.95°, I = 423, (0 0 2); 41.53°, I = 388, (3 3 0); 60.51°, I = 254, (3 3 2); 82.36°, I = 232, (6 4 1); 21.75°, I = 219, (2 0 0); 54.09°, I = 194, (3 5 0)

Structural model:
Cell: 8.1706 10.8328 4.3071 Å, 90.00 90.00 90.00°
Space group Cmmm (No. 65)
One atom of each set of equivalent atoms:
Hf1 0.0000 0.0000 0.0000 [2 per cell]
Pd1 0.0000 0.2391 0.0000 [4 per cell]
Pd2 0.1669 0.1307 0.5000 [8 per cell]
Pd3 0.1729 0.5000 0.0000 [4 per cell]
Au1 0.0000 0.3759 0.5000 [4 per cell]